Simulated powder diffraction line list of LiAc3Pb2 for Cu Kα, 1.54184 Å, from the PBE geometry in Alexandria.
Neutral-atom scattering factors, no anomalous dispersion.

Structure:
```
12
Lattice="-3.8239 7.6139 4.3620 3.8239 -7.6139 4.3620 3.8239 7.6139 -4.3620" Properties=species:S:1:pos:R:3 pbc="T T T"
Li 0.0000 0.0000 0.0000
Li 0.0000 0.0000 4.3620
Ac 3.8239 4.2064 -2.1810
Ac 3.8239 0.0000 2.1810
Ac 0.0000 3.4076 2.1810
Ac 3.8239 4.2064 2.1810
Ac 0.0000 7.6139 2.1810
Ac 0.0000 3.4076 6.5430
Pb 5.5089 1.9698 0.0000
Pb 1.6850 5.6441 0.0000
Pb 2.1389 1.9698 4.3620
Pb -1.6850 5.6441 4.3620
```

Largest 10 diffraction maxima, by angle, 2θ from 10° to 80°:
2θ/deg  Rel. int.
12.95  26
19.34  92
21.01  32
29.42  51
31.10  100
31.18  86
33.21  70
41.41  33
54.07  36
57.97  26